This entry pairs a crystal structure of Li6VCoP2C2O14 with its calculated powder X-ray diffraction pattern. Radiation: Cu Ka. Structure: a PBE+U-relaxed structure.
Kinematic intensities with the Lorentz-polarization factor, no thermal factor.

Top 10 peaks for 5° ≤ 2θ ≤ 70°, sorted by position:
- 10.47 deg, d = 8.446 Å, I 76, hkl 0 0 1
- 17.15 deg, d = 5.172 Å, I 22, hkl 0 1 1
- 19.70 deg, d = 4.507 Å, I 33, hkl 1 0 -1
- 21.72 deg, d = 4.092 Å, I 55, hkl 1 0 1
- 25.68 deg, d = 3.469 Å, I 21, hkl 1 1 1
- 26.14 deg, d = 3.409 Å, I 31, hkl 1 0 -2
- 27.27 deg, d = 3.271 Å, I 100, hkl 0 2 0
- 36.54 deg, d = 2.459 Å, I 31, hkl 2 0 -1
- 40.94 deg, d = 2.205 Å, I 23, hkl 1 1 3
- 56.25 deg, d = 1.635 Å, I 17, hkl 0 4 0

Atomic structure:
```
data_Li6VCoP2C2O14
_chemical_formula_sum 'Li6 V1 Co1 P2 C2 O14'
_cell_length_a 5.002
_cell_length_b 6.541
_cell_length_c 8.498
_cell_angle_alpha 90.00
_cell_angle_beta 96.33
_cell_angle_gamma 90.00
_symmetry_space_group_name_H-M 'P 1 m 1'
_symmetry_Int_Tables_number 6
_symmetry_space_group_name_Hall 'P -2y'
loop_
_atom_site_label
_atom_site_type_symbol
_atom_site_fract_x
_atom_site_fract_y
_atom_site_fract_z
Li1 Li 0.000 0.000 0.000
Li2 Li 0.064 0.272 0.618
Li3 Li 0.530 0.231 0.173
Li4 Li 0.589 0.500 0.790
V1 V 0.587 0.000 0.569
Co1 Co 0.007 0.500 0.226
P1 P 0.065 0.000 0.306
P2 P 0.530 0.500 0.484
C1 C 0.118 0.500 0.936
C2 C 0.467 0.000 0.860
O1 O 0.189 0.500 0.794
O2 O 0.215 0.500 0.460
O3 O 0.282 0.000 0.738
O4 O 0.299 0.500 0.060
O5 O 0.379 0.000 0.327
O6 O 0.402 0.000 0.003
O7 O 0.634 0.500 0.320
O8 O 0.635 0.317 0.590
O9 O 0.716 0.000 0.830
O10 O 0.868 0.500 0.963
O11 O 0.958 0.186 0.202
O12 O 0.966 0.000 0.471
```



This entry pairs a crystal structure of Li3FeF5 with its calculated powder X-ray diffraction pattern. Radiation: Cu Ka. Structure: a PBE+U-relaxed structure.
Kinematic intensities with the Lorentz-polarization factor, no thermal factor.

Top 10 peaks for 5° ≤ 2θ ≤ 70°, sorted by position:
- 15.80 deg, d = 5.610 Å, I 32, hkl 0 1 1
- 20.75 deg, d = 4.281 Å, I 100, hkl 1 1 1
- 22.97 deg, d = 3.873 Å, I 62, hkl 0 2 0
- 25.69 deg, d = 3.467 Å, I 97, hkl 1 0 2
- 31.36 deg, d = 2.852 Å, I 31, hkl 2 1 1
- 39.05 deg, d = 2.307 Å, I 25, hkl 1 3 1
- 44.74 deg, d = 2.026 Å, I 35, hkl 2 1 3
- 46.81 deg, d = 1.941 Å, I 37, hkl 3 0 2
- 46.92 deg, d = 1.936 Å, I 32, hkl 0 4 0
- 52.71 deg, d = 1.737 Å, I 25, hkl 1 2 4

Atomic structure:
```
data_Li3FeF5
_chemical_formula_sum 'Li12 Fe4 F20'
_cell_length_a 6.625
_cell_length_b 7.745
_cell_length_c 8.138
_cell_angle_alpha 90.00
_cell_angle_beta 90.00
_cell_angle_gamma 90.00
_symmetry_space_group_name_H-M 'P n m a'
_symmetry_Int_Tables_number 62
_symmetry_space_group_name_Hall '-P 2ac 2n'
loop_
_atom_site_label
_atom_site_type_symbol
_atom_site_fract_x
_atom_site_fract_y
_atom_site_fract_z
Li1 Li 0.014 0.072 0.229
Li2 Li 0.210 0.750 0.527
Fe1 Fe 0.229 0.250 0.600
F1 F 0.009 0.750 0.952
F2 F 0.070 0.250 0.381
F3 F 0.090 0.750 0.309
F4 F 0.225 0.511 0.644
```



This entry pairs a crystal structure of MgCo3BiO8 with its calculated powder X-ray diffraction pattern. Radiation: Cu Ka. Structure: a PBE+U-relaxed structure.
Kinematic intensities with the Lorentz-polarization factor, no thermal factor.

Top 10 peaks for 5° ≤ 2θ ≤ 70°, sorted by position:
- 17.95 deg, d = 4.942 Å, I 100, hkl 1 0 1
- 20.50 deg, d = 4.332 Å, I 22, hkl 0 1 2
- 33.48 deg, d = 2.676 Å, I 26, hkl 0 1 5
- 34.45 deg, d = 2.603 Å, I 54, hkl 1 1 3
- 36.36 deg, d = 2.471 Å, I 18, hkl 2 0 2
- 41.70 deg, d = 2.166 Å, I 41, hkl 0 2 4
- 46.48 deg, d = 1.954 Å, I 15, hkl 3 -1 1
- 55.16 deg, d = 1.665 Å, I 15, hkl 1 2 5
- 59.19 deg, d = 1.561 Å, I 15, hkl 2 0 8
- 61.67 deg, d = 1.504 Å, I 14, hkl 2 2 0

Atomic structure:
```
data_MgCo3BiO8
_chemical_formula_sum 'Mg3 Co9 Bi3 O24'
_cell_length_a 6.0164
_cell_length_b 6.0164
_cell_length_c 15.5967
_cell_angle_alpha 90.00
_cell_angle_beta 90.00
_cell_angle_gamma 120.00
_symmetry_space_group_name_H-M 'R 3'
_symmetry_Int_Tables_number 146
_symmetry_space_group_name_Hall 'R 3'
loop_
_atom_site_label
_atom_site_type_symbol
_atom_site_fract_x
_atom_site_fract_y
_atom_site_fract_z
Mg1 Mg 0.0000 0.0000 0.0000
Co1 Co 0.1675 0.3388 0.2011
Bi1 Bi 0.0000 0.0000 0.3716
O1 O 0.0000 0.0000 0.1345
O2 O 0.0000 0.0000 0.5976
O3 O 0.0231 0.5134 0.1280
O4 O 0.1754 0.8220 0.9481
```



This entry pairs a crystal structure of Li9Mn2Co5O16 with its calculated powder X-ray diffraction pattern. Radiation: Cu Ka. Structure: a PBE+U-relaxed structure.
Kinematic intensities with the Lorentz-polarization factor, no thermal factor.

Top 10 peaks for 5° ≤ 2θ ≤ 70°, sorted by position:
- 5.24 deg, d = 16.874 Å, I 21, hkl 0 0 1
- 18.29 deg, d = 4.851 Å, I 100, hkl 1 0 -2
- 35.43 deg, d = 2.533 Å, I 14, hkl 1 0 6
- 36.18 deg, d = 2.483 Å, I 27, hkl 1 1 2
- 42.88 deg, d = 2.109 Å, I 27, hkl 0 0 8
- 43.79 deg, d = 2.067 Å, I 55, hkl 2 1 0
- 47.54 deg, d = 1.913 Å, I 13, hkl 3 0 2
- 57.62 deg, d = 1.600 Å, I 9, hkl 3 1 -2
- 62.81 deg, d = 1.479 Å, I 14, hkl 2 1 -8
- 63.09 deg, d = 1.473 Å, I 14, hkl 2 1 8

Atomic structure:
```
data_Li9Mn2Co5O16
_chemical_formula_sum 'Li9 Mn2 Co5 O16'
_cell_length_a 5.905
_cell_length_b 2.896
_cell_length_c 16.874
_cell_angle_alpha 90.00
_cell_angle_beta 90.33
_cell_angle_gamma 90.00
_symmetry_space_group_name_H-M 'P 1 m 1'
_symmetry_Int_Tables_number 6
_symmetry_space_group_name_Hall 'P -2y'
loop_
_atom_site_label
_atom_site_type_symbol
_atom_site_fract_x
_atom_site_fract_y
_atom_site_fract_z
Li1 Li 0.000 0.000 0.000
Li2 Li 0.001 0.000 0.507
Li3 Li 0.010 0.000 0.746
Li4 Li 0.243 0.500 0.633
Li5 Li 0.253 0.500 0.134
Li6 Li 0.484 0.000 0.746
Li7 Li 0.503 0.000 0.255
Li8 Li 0.752 0.500 0.378
Li9 Li 0.757 0.500 0.867
Mn1 Mn 0.247 0.500 0.866
Mn2 Mn 0.503 0.000 0.000
Co1 Co 0.004 0.000 0.256
Co2 Co 0.253 0.500 0.380
Co3 Co 0.496 0.000 0.507
Co4 Co 0.750 0.500 0.132
Co5 Co 0.755 0.500 0.634
O1 O 0.014 0.000 0.378
O2 O 0.027 0.000 0.875
O3 O 0.242 0.500 0.258
O4 O 0.244 0.500 0.758
O5 O 0.263 0.500 0.503
O6 O 0.275 0.500 0.991
O7 O 0.474 0.000 0.870
O8 O 0.495 0.000 0.385
O9 O 0.514 0.000 0.626
O10 O 0.520 0.000 0.129
O11 O 0.731 0.500 0.001
O12 O 0.736 0.500 0.518
O13 O 0.746 0.500 0.737
O14 O 0.767 0.500 0.252
O15 O 0.977 0.000 0.627
O16 O 0.984 0.000 0.130
```



This entry pairs a crystal structure of Li3FePCO7 with its calculated powder X-ray diffraction pattern. Radiation: Cu Ka. Structure: a PBE+U-relaxed structure.
Kinematic intensities with the Lorentz-polarization factor, no thermal factor.

Top 10 peaks for 5° ≤ 2θ ≤ 70°, sorted by position:
- 10.42 deg, d = 8.487 Å, I 90, hkl 0 1 0
- 19.95 deg, d = 4.450 Å, I 22, hkl 1 -1 0
- 21.56 deg, d = 4.121 Å, I 31, hkl 1 1 0
- 25.72 deg, d = 3.463 Å, I 27, hkl 1 1 2
- 26.44 deg, d = 3.372 Å, I 34, hkl 1 -2 0
- 27.38 deg, d = 3.258 Å, I 100, hkl 0 0 4
- 36.29 deg, d = 2.475 Å, I 26, hkl 2 0 0
- 36.92 deg, d = 2.434 Å, I 31, hkl 2 -1 0
- 51.08 deg, d = 1.788 Å, I 21, hkl 0 4 -4
- 56.49 deg, d = 1.629 Å, I 22, hkl 0 0 8

Atomic structure:
```
data_Li3FePCO7
_chemical_formula_sum 'Li12 Fe4 P4 C4 O28'
_cell_length_a 4.970
_cell_length_b 8.521
_cell_length_c 13.032
_cell_angle_alpha 90.69
_cell_angle_beta 90.38
_cell_angle_gamma 95.04
_symmetry_space_group_name_H-M 'P 1'
_symmetry_Int_Tables_number 1
_symmetry_space_group_name_Hall 'P 1'
loop_
_atom_site_label
_atom_site_type_symbol
_atom_site_fract_x
_atom_site_fract_y
_atom_site_fract_z
Li1 Li 0.000 0.000 0.000
Li2 Li 0.001 0.995 0.492
Li3 Li 0.001 0.997 0.774
Li4 Li 0.498 0.549 0.023
Li5 Li 0.501 0.547 0.755
Li6 Li 0.517 0.555 0.248
Li7 Li 0.518 0.178 0.888
Li8 Li 0.519 0.173 0.380
Li9 Li 0.973 0.626 0.377
Li10 Li 0.986 0.376 0.139
Li11 Li 0.987 0.370 0.638
Li12 Li 0.997 0.995 0.274
Fe1 Fe 0.505 0.535 0.504
Fe2 Fe 0.534 0.937 0.135
Fe3 Fe 0.540 0.939 0.634
Fe4 Fe 0.964 0.609 0.886
P1 P 0.028 0.684 0.634
P2 P 0.029 0.685 0.136
P3 P 0.468 0.863 0.385
P4 P 0.471 0.864 0.883
C1 C 0.046 0.314 0.391
C2 C 0.054 0.309 0.884
C3 C 0.452 0.239 0.634
C4 C 0.455 0.239 0.135
O1 O 0.113 0.164 0.885
O2 O 0.114 0.170 0.385
O3 O 0.156 0.846 0.883
O4 O 0.157 0.848 0.386
O5 O 0.239 0.430 0.396
O6 O 0.249 0.423 0.884
O7 O 0.256 0.129 0.636
O8 O 0.266 0.123 0.134
O9 O 0.346 0.698 0.629
O10 O 0.346 0.704 0.133
O11 O 0.391 0.384 0.136
O12 O 0.393 0.387 0.632
O13 O 0.570 0.697 0.883
O14 O 0.574 0.697 0.382
O15 O 0.576 0.964 0.790
O16 O 0.580 0.966 0.294
O17 O 0.582 0.967 0.976
O18 O 0.583 0.964 0.480
O19 O 0.698 0.205 0.635
O20 O 0.704 0.205 0.135
O21 O 0.798 0.345 0.390
O22 O 0.807 0.345 0.883
O23 O 0.913 0.584 0.541
O24 O 0.920 0.584 0.041
O25 O 0.929 0.585 0.228
O26 O 0.931 0.584 0.728
O27 O 0.931 0.853 0.135
O28 O 0.936 0.852 0.637
```